[1]
Calculated powder diffractogram
Compound: LiAc2Ga
Radiation: λ = 1.5418 Å (Cu Kα)
Structure: a DFT-relaxed cell (GGA-PBE, the Materials Project)

Largest 6 diffraction maxima, most intense first, 2θ = 5–70°:
| index | Position (°2θ) | Rel. int. |
| --- | --- | --- |
| 2 2 0 | 32.04 | 100 |
| 2 0 0 | 22.50 | 58 |
| 4 2 2 | 57.10 | 40 |
| 4 2 0 | 51.73 | 26 |
| 4 0 0 | 45.94 | 19 |
| 2 2 2 | 39.50 | 19 |

```
16
Lattice="7.9022 0.0000 0.0000 0.0000 7.9022 0.0000 0.0000 0.0000 7.9022" Properties=species:S:1:pos:R:3 pbc="T T T"
Li 0.0000 0.0000 0.0000
Li 0.0000 3.9511 3.9511
Li 3.9511 0.0000 3.9511
Li 3.9511 3.9511 0.0000
Ac 1.9756 1.9756 1.9756
Ac 1.9756 1.9756 5.9267
Ac 1.9756 5.9267 1.9756
Ac 1.9756 5.9267 5.9267
Ac 5.9267 1.9756 1.9756
Ac 5.9267 1.9756 5.9267
Ac 5.9267 5.9267 1.9756
Ac 5.9267 5.9267 5.9267
Ga 0.0000 0.0000 3.9511
Ga 0.0000 3.9511 0.0000
Ga 3.9511 0.0000 0.0000
Ga 3.9511 3.9511 3.9511
```

[2]
Calculated powder diffractogram
Compound: Sr4CrN4
Radiation: λ = 1.5418 Å (Cu Kα)
Structure: a DFT-relaxed cell (GGA-PBE, the Materials Project)

Largest 6 diffraction maxima, most intense first, 2θ = 5–70°:
| index | Position (°2θ) | Rel. int. |
| --- | --- | --- |
| 1 1 3 | 29.54 | 100 |
| 3 1 1 | 29.30 | 82 |
| 0 2 0 | 34.10 | 79 |
| 3 1 2 | 32.23 | 33 |
| 2 1 2 | 27.34 | 32 |
| 4 0 1 | 31.15 | 26 |

```
36
Lattice="11.8490 0.0000 0.0000 0.0000 5.2589 0.0000 0.0000 0.0000 11.6689" Properties=species:S:1:pos:R:3 pbc="T T T"
Sr 0.6410 1.3147 1.2824
Sr 1.0757 3.9442 3.6634
Sr 1.5965 3.9442 7.7478
Sr 2.6507 1.3147 5.5424
Sr 3.2738 3.9442 11.3769
Sr 4.3280 1.3147 1.9134
Sr 4.8488 1.3147 9.4978
Sr 5.2835 3.9442 7.1168
Sr 6.5655 1.3147 4.5521
Sr 7.0002 3.9442 2.1711
Sr 7.5210 3.9442 9.7555
Sr 8.5752 1.3147 0.2920
Sr 9.1983 3.9442 6.1264
Sr 10.2525 1.3147 3.9210
Sr 10.7733 1.3147 8.0055
Sr 11.2080 3.9442 10.3865
Cr 1.6130 1.3147 9.9467
Cr 4.3115 3.9442 4.1123
Cr 7.5375 1.3147 7.5566
Cr 10.2360 3.9442 1.7221
N 0.0384 3.9442 1.2804
N 0.8288 1.3147 3.8728
N 2.0521 1.3147 8.2679
N 2.7692 1.3147 11.2699
N 3.1553 3.9442 5.4354
N 3.8724 3.9442 2.4335
N 5.0957 3.9442 9.7072
N 5.8861 1.3147 7.1149
N 5.9629 3.9442 4.5540
N 6.7533 1.3147 1.9617
N 7.9766 1.3147 9.2354
N 8.6937 1.3147 6.2334
N 9.0798 3.9442 0.3990
N 9.7969 3.9442 3.4009
N 11.0202 3.9442 7.7961
N 11.8106 1.3147 10.3884
```